[1]
Structure and theoretical powder XRD pattern of BaFeAg4 (DFT lattice parameters and positions (PBE); copper Kα).
Peak positions follow from Bragg's law for the DFT cell and can differ from measured ones.

Largest 10 diffraction maxima, in order of rising 2θ, 2θ from 5° to 70°:
d 4.683, 18.95°, I = 137
d 4.056, 21.92°, I = 43
d 2.868, 31.19°, I = 216
d 2.446, 36.75°, I = 1000
d 2.342, 38.45°, I = 462
d 2.028, 44.69°, I = 72
d 1.861, 48.95°, I = 38
d 1.656, 55.50°, I = 81
d 1.561, 59.19°, I = 317
d 1.434, 65.05°, I = 272

Cell and atoms:
Cell: 5.735 5.735 5.735 Å, 60.00 60.00 60.00°
Fractional coordinates of all 6 atoms:
Ba (0.000, 0.000, 0.000)
Fe (0.750, 0.750, 0.750)
Ag (0.376, 0.376, 0.376)
Ag (0.376, 0.376, 0.871)
Ag (0.376, 0.871, 0.376)
Ag (0.871, 0.376, 0.376)

=====

[2]
Structure and theoretical powder XRD pattern of Sn2Te2Pd3 (DFT lattice parameters and positions (PBE); copper Kα).
Peak positions follow from Bragg's law for the DFT cell and can differ from measured ones.

Largest 10 diffraction maxima, in order of rising 2θ, 2θ from 5° to 70°:
d 3.032, 29.46°, I = 826
d 3.007, 29.71°, I = 830
d 2.942, 30.38°, I = 982
d 2.219, 40.66°, I = 752
d 2.199, 41.05°, I = 759
d 2.178, 41.46°, I = 533
d 2.095, 43.19°, I = 590
d 2.018, 44.91°, I = 1000
d 1.651, 55.66°, I = 227
d 1.471, 63.21°, I = 254

Cell and atoms:
Cell: 7.039 6.910 6.967 Å, 90.00 106.51 90.00°
Fractional coordinates of all 14 atoms:
Sn (0.113, 0.149, 0.365)
Sn (0.113, 0.351, 0.865)
Sn (0.887, 0.649, 0.135)
Sn (0.887, 0.851, 0.635)
Te (0.356, 0.658, 0.627)
Te (0.356, 0.842, 0.127)
Te (0.644, 0.158, 0.873)
Te (0.644, 0.342, 0.373)
Pd (0.241, 0.021, 0.755)
Pd (0.241, 0.479, 0.255)
Pd (0.500, 0.000, 0.500)
Pd (0.500, 0.500, 0.000)
Pd (0.759, 0.521, 0.745)
Pd (0.759, 0.979, 0.245)

=====

> Which formula does entry 2 have?

Sn2Te2Pd3